Starting from DFT lattice parameters and positions (PBE+U), the X-ray diffraction stick pattern of CoH2SeO4 was computed for CuKα.

Most intense lines, 2θ = 10–80°, by intensity:
| 2θ (°) | d [Å] | intensity |
| --- | --- | --- |
| 13.1 | 6.752 | 100 |
| 22.5 | 3.956 | 92 |
| 30.9 | 2.895 | 79 |
| 32.0 | 2.799 | 62 |
| 16.8 | 5.268 | 47 |
| 31.6 | 2.835 | 43 |
| 36.8 | 2.441 | 37 |
| 27.8 | 3.211 | 36 |

Crystal structure
Cell: 4.884 13.504 7.393 Å, 90.00 129.29 90.00°
Fractional coordinates of all 32 atoms:
1 Co 0.204 0.233 0.384
2 Co 0.204 0.267 0.884
3 Co 0.796 0.733 0.116
4 Co 0.796 0.767 0.616
5 H 0.284 0.611 0.951
6 H 0.284 0.889 0.451
7 H 0.441 0.629 0.213
8 H 0.441 0.871 0.713
9 H 0.559 0.129 0.287
10 H 0.559 0.371 0.787
11 H 0.716 0.111 0.549
12 H 0.716 0.389 0.049
13 Se 0.377 0.606 0.613
14 Se 0.377 0.894 0.113
15 Se 0.623 0.106 0.887
16 Se 0.623 0.394 0.387
17 O 0.050 0.634 0.626
18 O 0.050 0.866 0.126
19 O 0.263 0.180 0.667
20 O 0.263 0.320 0.167
21 O 0.293 0.676 0.382
22 O 0.293 0.824 0.882
23 O 0.493 0.114 0.386
24 O 0.493 0.386 0.886
25 O 0.507 0.614 0.114
26 O 0.507 0.886 0.614
27 O 0.707 0.176 0.118
28 O 0.707 0.324 0.618
29 O 0.737 0.680 0.833
30 O 0.737 0.820 0.333
31 O 0.950 0.134 0.874
32 O 0.950 0.366 0.374